Simulated powder XRD pattern
Compound: LiSmMo2O8
Radiation: CuKα
Structure: DFT lattice parameters and positions (GGA+U)
Neutral-atom scattering factors, no anomalous dispersion.

Most intense lines, 2θ from 10° to 80°, by intensity:
d_spacing	Rel. int.	(hkl)
3.187	100	1 1 1
2.991	76	1 1 -3
4.385	36	1 0 -2
4.694	35	1 0 0
5.179	34	0 1 1
2.964	30	0 1 3
3.893	26	0 1 2
2.528	25	2 0 -2

Structural model:
```
data_LiSmMo2O8
_chemical_formula_sum 'Li2 Sm2 Mo4 O16'
_space_group_name_H-M_alt 'P 1 2/c 1'
_space_group_IT_number 13
_cell_length_a 5.074
_cell_length_b 6.007
_cell_length_c 11.050
_cell_angle_alpha 90.00
_cell_angle_beta 112.31
_cell_angle_gamma 90.00
loop_
_space_group_symop_operation_xyz
'x,y,z'
'-x,-y,-z'
'-x,y,-z+1/2'
'x,-y,z+1/2'
loop_
_atom_site_label
_atom_site_type_symbol
_atom_site_fract_x
_atom_site_fract_y
_atom_site_fract_z
Li1 Li 0.000 0.227 0.250
Sm1 Sm 0.500 0.294 0.750
Mo1 Mo 0.267 0.180 0.024
O1 O 0.137 0.107 0.594
O2 O 0.220 0.367 0.141
O3 O 0.297 0.366 0.902
O4 O 0.366 0.078 0.382
```